(1)
Li9Ca2Zn6: computed powder X-ray diffraction pattern (λ = 1.5418 Å (Cu Kα)), based on a PBE-relaxed structure.

Structure:
Cell: 5.4805 5.4805 13.5799 Å, 90.00 90.00 120.00°
Space group P6/mmm (No. 191)
Asymmetric unit:
Li  0.0000  0.5000  0.0000 x3
Li  0.0000  0.5000  0.3346 x6
Ca  0.0000  0.0000  0.1666 x2
Zn  0.3333  0.6667  0.1679 x4
Zn  0.3333  0.6667  0.5000 x2

Principal peaks in the range 10° ≤ 2θ ≤ 80°, most intense first:
2θ = 38.40°, I 100
2θ = 19.61°, I 73
2θ = 32.68°, I 70
2θ = 52.43°, I 34
2θ = 18.70°, I 23
2θ = 62.15°, I 22
2θ = 39.83°, I 17
2θ = 71.36°, I 14
2θ = 58.32°, I 12
2θ = 72.96°, I 12

***

(2)
CaAlGePd: computed powder X-ray diffraction pattern (λ = 1.5418 Å (Cu Kα)), based on a PBE-relaxed structure.

Structure:
Cell: 4.2658 4.2658 16.0376 Å, 90.00 90.00 120.00°
Space group R3m (No. 160, hexagonal axes)
Asymmetric unit:
Ca  0.0000  0.0000  0.0000 x3
Al  0.0000  0.0000  0.7951 x3
Ge  0.0000  0.0000  0.2163 x3
Pd  0.0000  0.0000  0.4918 x3

Principal peaks in the range 10° ≤ 2θ ≤ 80°, most intense first:
2θ = 32.97°, I 100
2θ = 16.58°, I 67
2θ = 42.38°, I 67
2θ = 45.80°, I 30
2θ = 54.71°, I 23
2θ = 46.65°, I 21
2θ = 24.73°, I 20
2θ = 71.56°, I 20
2θ = 55.09°, I 15
2θ = 26.57°, I 13

***

(3)
LaGaRh: computed powder X-ray diffraction pattern (λ = 1.5418 Å (Cu Kα)), based on a PBE-relaxed structure.

Structure:
Cell: 4.4083 5.4317 6.1308 Å, 91.96 109.43 108.23°
Space group P-1 (No. 2)
Asymmetric unit:
La  0.2188  0.1884  0.3094 x2
Ga  0.4310  0.7218  0.0908 x2
Rh  0.0084  0.3690  0.7083 x2

Principal peaks in the range 10° ≤ 2θ ≤ 80°, most intense first:
2θ = 32.11°, I 100
2θ = 41.19°, I 83
2θ = 31.42°, I 80
2θ = 31.29°, I 78
2θ = 39.52°, I 67
2θ = 37.65°, I 53
2θ = 40.94°, I 49
2θ = 36.31°, I 46
2θ = 34.56°, I 45
2θ = 35.21°, I 45